Record 1
# CaGe7N10
Simulated powder XRD pattern, Cu Ka. Input: the GGA-PBE geometry in the Materials Project.

The 10 most intense peaks (10 to 90 degrees two-theta), low angle first:
two_theta	intensity
12.75	420
18.31	424
24.63	378
27.83	452
28.23	384
29.74	405
35.16	308
35.28	474
37.38	1000
63.06	326

Structure:
```
CaGe7N10
1.0
7.187 0.000 0.000
0.000 7.225 0.000
-2.645 0.000 9.910
Ca Ge N
2 14 20
direct
0.000 0.019 0.000
0.000 0.981 0.500
0.210 0.393 0.939
0.210 0.607 0.439
0.395 0.376 0.248
0.395 0.624 0.748
0.446 0.025 0.885
0.446 0.975 0.385
0.584 0.370 0.553
0.584 0.630 0.053
0.643 0.027 0.191
0.643 0.973 0.691
0.761 0.365 0.857
0.761 0.635 0.357
0.947 0.375 0.177
0.947 0.625 0.677
0.177 0.419 0.307
0.177 0.581 0.807
0.238 0.151 0.899
0.238 0.849 0.399
0.384 0.496 0.089
0.384 0.504 0.589
0.417 0.125 0.230
0.417 0.875 0.730
0.555 0.119 0.538
0.555 0.881 0.038
0.595 0.460 0.388
0.595 0.540 0.888
0.674 0.125 0.846
0.674 0.875 0.346
0.804 0.415 0.689
0.804 0.585 0.189
0.867 0.138 0.190
0.867 0.862 0.690
0.983 0.371 0.997
0.983 0.629 0.497
```


Record 2
# CaGeN2
Simulated powder XRD pattern, Cu Ka. Input: the GGA-PBE geometry in the Materials Project.

The 10 most intense peaks (10 to 90 degrees two-theta), low angle first:
two_theta	intensity
11.39	458
26.68	111
33.44	1000
34.26	623
42.61	130
46.78	92
49.23	308
59.25	260
60.83	347
70.26	104

Structure:
```
CaGeN2
1.0
3.701 0.000 0.000
0.000 3.701 0.000
0.000 0.000 7.768
Ca Ge N
2 2 4
direct
0.250 0.250 0.141
0.750 0.750 0.859
0.250 0.250 0.605
0.750 0.750 0.395
0.250 0.250 0.841
0.250 0.750 0.500
0.750 0.250 0.500
0.750 0.750 0.159
```


Record 3
# Ca7GeN6
Simulated powder XRD pattern, Cu Ka. Input: the GGA-PBE geometry in the Materials Project.

The 10 most intense peaks (10 to 90 degrees two-theta), low angle first:
two_theta	intensity
16.42	161
21.26	172
30.68	208
31.70	1000
31.84	171
32.85	299
35.95	405
36.35	197
36.63	325
46.40	166

Structure:
```
Ca7GeN6
1.0
10.908 0.000 0.000
0.000 6.212 0.000
0.000 0.000 13.199
Ca Ge N
28 4 24
direct
0.000 0.058 0.250
0.000 0.942 0.750
0.038 0.231 0.521
0.038 0.769 0.021
0.205 0.391 0.117
0.205 0.609 0.617
0.228 0.356 0.874
0.228 0.644 0.374
0.272 0.144 0.374
0.272 0.856 0.874
0.295 0.109 0.617
0.295 0.891 0.117
0.462 0.269 0.021
0.462 0.731 0.521
0.500 0.442 0.750
0.500 0.558 0.250
0.538 0.269 0.479
0.538 0.731 0.979
0.705 0.109 0.883
0.705 0.891 0.383
0.728 0.144 0.126
0.728 0.856 0.626
0.772 0.356 0.626
0.772 0.644 0.126
0.795 0.391 0.383
0.795 0.609 0.883
0.962 0.231 0.979
0.962 0.769 0.479
0.000 0.434 0.750
0.000 0.566 0.250
0.500 0.066 0.250
0.500 0.934 0.750
0.049 0.388 0.359
0.049 0.612 0.859
0.133 0.254 0.707
0.133 0.746 0.207
0.166 0.094 0.994
0.166 0.906 0.494
0.334 0.406 0.494
0.334 0.594 0.994
0.367 0.246 0.207
0.367 0.754 0.707
0.451 0.112 0.859
0.451 0.888 0.359
0.549 0.112 0.641
0.549 0.888 0.141
0.633 0.246 0.293
0.633 0.754 0.793
0.666 0.406 0.006
0.666 0.594 0.506
0.834 0.094 0.506
0.834 0.906 0.006
0.867 0.254 0.793
0.867 0.746 0.293
0.951 0.388 0.141
0.951 0.612 0.641
```


Record 4
# Na2CaGe6O14
Simulated powder XRD pattern, Cu Ka. Input: the GGA-PBE geometry in the Materials Project.

The 10 most intense peaks (10 to 90 degrees two-theta), low angle first:
two_theta	intensity
12.39	396
17.99	474
21.56	441
28.15	606
28.25	301
30.87	1000
37.88	469
38.01	566
50.02	292
59.42	280

Structure:
```
Na2CaGe6O14
1.0
7.128 -4.143 0.000
7.128 4.143 0.000
-0.014 0.000 4.931
Na Ca Ge O
2 1 6 14
direct
0.212 0.212 0.000
0.788 0.788 0.000
0.368 0.632 0.000
0.033 0.967 0.500
0.123 0.545 0.484
0.455 0.877 0.516
0.542 0.212 0.498
0.788 0.458 0.502
0.792 0.208 0.000
0.004 0.124 0.236
0.100 0.751 0.319
0.136 0.551 0.828
0.249 0.900 0.681
0.332 0.372 0.317
0.449 0.864 0.172
0.481 0.059 0.672
0.572 0.339 0.768
0.628 0.668 0.683
0.661 0.428 0.232
0.701 0.085 0.236
0.876 0.996 0.764
0.915 0.299 0.764
0.941 0.519 0.328
```